Record 1
Structure and simulated powder X-ray diffraction pattern of ErPuRuPb (the PBE geometry in Alexandria; Cu Kα (λ = 1.5418 Å)).
Intensities are scaled so that the largest is 100.

The 6 most intense peaks (2θ from 15° to 90°), sorted by position:
d = 3.103 Å, I 22; d = 2.633 Å, I 100; d = 2.351 Å, I 46; d = 1.820 Å, I 16; d = 1.663 Å, I 16; d = 1.406 Å, I 29

Cell and atoms:
```
ErPuRuPb
1.0
3.3255 0.0000 0.0000
0.0000 3.3255 0.0000
0.0000 0.0000 8.6218
Er Pu Ru Pb
1 1 1 1
direct
0.0000 0.0000 0.0000
0.0000 0.0000 0.6018
0.5000 0.5000 0.8022
0.5000 0.5000 0.2975
```



Record 2
Structure and simulated powder X-ray diffraction pattern of Er2Rh4Pb (the PBE geometry in Alexandria; Cu Kα (λ = 1.5418 Å)).
Intensities are scaled so that the largest is 100.

The 6 most intense peaks (2θ from 15° to 90°), sorted by position:
d = 3.922 Å, I 22; d = 2.316 Å, I 97; d = 2.299 Å, I 100; d = 1.632 Å, I 33; d = 1.330 Å, I 33; d = 1.327 Å, I 17

Cell and atoms:
```
Er2Rh4Pb
1.0
2.2986 1.3271 7.5933
-2.2986 1.3271 7.5933
0.0000 -2.6542 7.5933
Er Rh Pb
2 4 1
direct
0.2427 0.2427 0.2427
0.7573 0.7573 0.7573
0.1235 0.1235 0.1235
0.3743 0.3743 0.3743
0.6257 0.6257 0.6257
0.8765 0.8765 0.8765
0.0000 0.0000 0.0000
```



Record 3
Structure and simulated powder X-ray diffraction pattern of ErRh2Pb2 (the PBE geometry in Alexandria; Cu Kα (λ = 1.5418 Å)).
Intensities are scaled so that the largest is 100.

The 6 most intense peaks (2θ from 15° to 90°), sorted by position:
d = 3.282 Å, I 25; d = 2.372 Å, I 100; d = 2.355 Å, I 25; d = 2.287 Å, I 23; d = 1.363 Å, I 18; d = 1.336 Å, I 17

Cell and atoms:
```
ErRh2Pb2
1.0
4.5749 0.0000 0.0000
0.0000 4.7098 0.0000
0.0000 0.0000 10.3013
Er Rh Pb
2 4 4
direct
0.2500 0.2500 0.1716
0.7500 0.7500 0.8284
0.2500 0.7500 0.0006
0.2500 0.7500 0.3247
0.7500 0.2500 0.6753
0.7500 0.2500 0.9994
0.2500 0.2500 0.4944
0.2500 0.2500 0.8278
0.7500 0.7500 0.1722
0.7500 0.7500 0.5056
```



Record 4
Structure and simulated powder X-ray diffraction pattern of Er2Rh3Pb (the PBE geometry in Alexandria; Cu Kα (λ = 1.5418 Å)).
Intensities are scaled so that the largest is 100.

The 6 most intense peaks (2θ from 15° to 90°), sorted by position:
d = 3.368 Å, I 16; d = 2.386 Å, I 100; d = 2.377 Å, I 99; d = 1.684 Å, I 34; d = 1.376 Å, I 53; d = 1.371 Å, I 17

Cell and atoms:
```
Er2Rh3Pb
1.0
4.7711 0.0000 0.0000
-2.3855 4.1319 0.0000
0.0000 0.0000 11.6237
Er Rh Pb
4 6 2
direct
0.0000 0.0000 0.0000
0.0000 0.0000 0.5000
0.3333 0.6667 0.1742
0.6667 0.3333 0.8258
0.0000 0.0000 0.2466
0.0000 0.0000 0.7534
0.3333 0.6667 0.4209
0.3333 0.6667 0.9180
0.6667 0.3333 0.0820
0.6667 0.3333 0.5791
0.3333 0.6667 0.6666
0.6667 0.3333 0.3334
```